This entry pairs a crystal structure of K2Na2MoW3O12 with its computed X-ray diffraction stick pattern. Radiation: Cu Kα. Structure: a crystal structure in the Materials Project, relaxed with GGA+U.
Lines closer than 0.1° are merged.

The 10 most intense peaks (2θ from 10° to 90°), in order of rising 2θ:
d 4.008, I 82, hkl 0 2 0; d 2.834, I 100, hkl 1 2 0; d 2.005, I 22, hkl 0 4 0; d 2.002, I 11, hkl 2 0 0; d 1.792, I 35, hkl 2 2 0; d 1.636, I 39, hkl 2 2 2; d 1.417, I 20, hkl 2 4 0; d 1.336, I 10, hkl 0 6 0; d 1.268, I 9, hkl 1 6 0; d 1.266, I 9, hkl 3 2 0

Structural model:
Lattice parameters (Å, degrees): 4.0034 8.0247 8.0148 90.00 90.00 90.00
Space group Pmm2 (No. 25)
Inequivalent atoms, fractional coordinates:
K 0.0000 0.2483 0.0000 (multiplicity 2)
Na 0.0000 0.2482 0.5006 (multiplicity 2)
Mo 0.5000 0.0000 0.7488 (multiplicity 1)
W 0.5000 0.0000 0.2518 (multiplicity 1)
W 0.5000 0.5000 0.2519 (multiplicity 1)
W 0.5000 0.5000 0.7487 (multiplicity 1)
O 0.0000 0.0000 0.2536 (multiplicity 1)
O 0.0000 0.0000 0.7474 (multiplicity 1)
O 0.0000 0.5000 0.2532 (multiplicity 1)
O 0.0000 0.5000 0.7476 (multiplicity 1)
O 0.5000 0.0000 0.0103 (multiplicity 1)
O 0.5000 0.0000 0.4920 (multiplicity 1)
O 0.5000 0.2593 0.2533 (multiplicity 2)
O 0.5000 0.2602 0.7473 (multiplicity 2)
O 0.5000 0.5000 0.0012 (multiplicity 1)
O 0.5000 0.5000 0.4997 (multiplicity 1)

This entry pairs a crystal structure of K4Na4Mo3W5O24 with its computed X-ray diffraction stick pattern. Radiation: Cu Kα. Structure: a crystal structure in the Materials Project, relaxed with GGA+U.
Lines closer than 0.1° are merged.

The 10 most intense peaks (2θ from 10° to 90°), in order of rising 2θ:
d 4.016, I 53, hkl 0 2 0; d 3.995, I 26, hkl 2 0 0; d 2.835, I 100, hkl 2 2 0; d 2.008, I 23, hkl 0 4 0; d 1.997, I 11, hkl 4 0 0; d 1.795, I 23, hkl 2 4 0; d 1.638, I 26, hkl 2 4 2; d 1.634, I 13, hkl 4 2 2; d 1.416, I 14, hkl 4 4 0; d 1.270, I 11, hkl 2 6 0

Structural model:
Lattice parameters (Å, degrees): 7.9891 8.0348 8.0303 90.00 90.00 90.00
Space group Pmm2 (No. 25)
Inequivalent atoms, fractional coordinates:
K 0.2442 0.2472 0.0000 (multiplicity 4)
Na 0.2426 0.2462 0.4932 (multiplicity 4)
Mo 0.0000 0.0000 0.2498 (multiplicity 1)
Mo 0.0000 0.0000 0.7452 (multiplicity 1)
Mo 0.0000 0.5000 0.2492 (multiplicity 1)
W 0.0000 0.5000 0.7437 (multiplicity 1)
W 0.5000 0.0000 0.2496 (multiplicity 1)
W 0.5000 0.0000 0.7442 (multiplicity 1)
W 0.5000 0.5000 0.2501 (multiplicity 1)
W 0.5000 0.5000 0.7450 (multiplicity 1)
O 0.0000 0.0000 0.4985 (multiplicity 1)
O 0.0000 0.0000 0.9964 (multiplicity 1)
O 0.0000 0.2511 0.2542 (multiplicity 2)
O 0.0000 0.2619 0.7406 (multiplicity 2)
O 0.0000 0.5000 0.5068 (multiplicity 1)
O 0.0000 0.5000 0.9828 (multiplicity 1)
O 0.2555 0.5000 0.7422 (multiplicity 2)
O 0.2583 0.0000 0.7418 (multiplicity 2)
O 0.2583 0.5000 0.2526 (multiplicity 2)
O 0.2620 0.0000 0.2529 (multiplicity 2)
O 0.5000 0.0000 0.5033 (multiplicity 1)
O 0.5000 0.0000 0.9888 (multiplicity 1)
O 0.5000 0.2459 0.7416 (multiplicity 2)
O 0.5000 0.2571 0.2527 (multiplicity 2)
O 0.5000 0.5000 0.0025 (multiplicity 1)
O 0.5000 0.5000 0.4941 (multiplicity 1)

This entry pairs a crystal structure of KNaMoWO6 with its computed X-ray diffraction stick pattern. Radiation: Cu Kα. Structure: a crystal structure in the Materials Project, relaxed with GGA+U.
Lines closer than 0.1° are merged.

The 10 most intense peaks (2θ from 10° to 90°), in order of rising 2θ:
d 4.013, I 52, hkl 2 0 0; d 3.990, I 26, hkl 0 0 2; d 2.832, I 100, hkl 2 2 0; d 2.007, I 24, hkl 4 0 0; d 1.995, I 12, hkl 0 0 4; d 1.794, I 22, hkl 4 2 0; d 1.637, I 26, hkl 4 2 2; d 1.632, I 13, hkl 2 2 4; d 1.415, I 14, hkl 4 0 4; d 1.269, I 11, hkl 6 2 0

Structural model:
Lattice parameters (Å, degrees): 8.0266 8.0266 7.9805 90.00 90.00 90.00
Space group P4mm (No. 99)
Inequivalent atoms, fractional coordinates:
K 0.2471 0.2471 0.0000 (multiplicity 4)
Na 0.2467 0.2467 0.4916 (multiplicity 4)
Mo 0.0000 0.0000 0.2498 (multiplicity 1)
Mo 0.0000 0.0000 0.7438 (multiplicity 1)
Mo 0.0000 0.5000 0.2478 (multiplicity 2)
W 0.0000 0.5000 0.7427 (multiplicity 2)
W 0.5000 0.5000 0.2509 (multiplicity 1)
W 0.5000 0.5000 0.7455 (multiplicity 1)
O 0.0000 0.0000 0.5084 (multiplicity 1)
O 0.0000 0.0000 0.9818 (multiplicity 1)
O 0.0000 0.2507 0.2522 (multiplicity 4)
O 0.0000 0.2572 0.7408 (multiplicity 4)
O 0.0000 0.5000 0.5028 (multiplicity 2)
O 0.0000 0.5000 0.9861 (multiplicity 2)
O 0.2464 0.5000 0.7410 (multiplicity 4)
O 0.2617 0.5000 0.2512 (multiplicity 4)
O 0.5000 0.5000 0.5019 (multiplicity 1)
O 0.5000 0.5000 0.9906 (multiplicity 1)